Diffraction record for Pa3Bi2C. The PXRD pattern is theoretical, not measured: it uses a DFT-relaxed cell (PBE, Alexandria) and a wavelength of 1.5418 Å.

Largest 10 diffraction maxima, by angle, 2θ from 10° to 90°:
- 28.76 deg, d = 3.105 Å, I = 80
- 32.75 deg, d = 2.735 Å, I = 100
- 36.13 deg, d = 2.486 Å, I = 33
- 37.40 deg, d = 2.404 Å, I = 33
- 37.65 deg, d = 2.389 Å, I = 65
- 54.12 deg, d = 1.695 Å, I = 58
- 60.28 deg, d = 1.535 Å, I = 24
- 62.74 deg, d = 1.481 Å, I = 19
- 64.55 deg, d = 1.444 Å, I = 15
- 67.93 deg, d = 1.380 Å, I = 12

Cell and atoms:
```
data_Pa3Bi2C
_chemical_formula_sum 'Pa3 Bi2 C1'
_space_group_name_H-M_alt 'P 1 2/m 1'
_space_group_IT_number 10
_cell_length_a 4.809
_cell_length_b 3.370
_cell_length_c 10.439
_cell_angle_alpha 90.00
_cell_angle_beta 103.20
_cell_angle_gamma 90.00
loop_
_space_group_symop_operation_xyz
'x,y,z'
'-x,-y,-z'
'-x,y,-z'
'x,-y,z'
loop_
_atom_site_label
_atom_site_type_symbol
_atom_site_fract_x
_atom_site_fract_y
_atom_site_fract_z
Pa1 Pa 0.000 0.000 0.000
Pa2 Pa 0.415 0.500 0.828
Bi1 Bi 0.167 0.000 0.339
C1 C 0.500 0.000 0.000
```